Calculated powder diffraction line list of Eu3Sn5 for Cu Ka, from DFT lattice parameters and positions (PBE).

Crystal structure
Cell lengths 6.698, 6.698, 10.606 Å; angles 90.00, 90.00, 77.82 degrees
Fractional positions:
Eu 0.131 0.869 0.750
Eu 0.294 0.294 0.000
Eu 0.294 0.294 0.500
Eu 0.706 0.706 0.000
Eu 0.706 0.706 0.500
Eu 0.869 0.131 0.250
Sn 0.008 0.575 0.250
Sn 0.194 0.806 0.049
Sn 0.194 0.806 0.451
Sn 0.425 0.992 0.250
Sn 0.477 0.523 0.250
Sn 0.523 0.477 0.750
Sn 0.575 0.008 0.750
Sn 0.806 0.194 0.549
Sn 0.806 0.194 0.951
Sn 0.992 0.425 0.750

Largest 8 diffraction maxima, most intense first, 2θ from 5° to 70°:
Position (°2θ), I (rel.)
32.1, 100.0
33.8, 35.5
33.1, 33.0
37.8, 25.2
34.4, 25.1
32.6, 22.7
37.4, 20.8
54.9, 20.3